Structure and computed XRD peak list of LiPuNiO4 (a cell relaxed with GGA+U; Cu Kα X-rays).

Main lines, low angle first (15° ≤ 2θ ≤ 90°):
d/Å	Rel. int.
3.897	100.0
3.626	12.9
2.882	22.8
2.853	12.9
2.645	16.6
2.353	15.7
2.238	14.6
2.142	22.6
1.949	23.8
1.806	12.4

Structure:
```
LiPuNiO4
1.0
2.882 -3.866 0.000
2.882 3.866 0.000
0.000 0.000 7.251
Li Pu Ni O
2 2 2 8
direct
0.151 0.849 0.750
0.849 0.151 0.250
0.212 0.788 0.250
0.788 0.212 0.750
0.500 0.500 0.000
0.500 0.500 0.500
0.238 0.762 0.511
0.238 0.762 0.989
0.264 0.286 0.250
0.286 0.264 0.750
0.714 0.736 0.250
0.736 0.714 0.750
0.762 0.238 0.011
0.762 0.238 0.489
```